Record 1
The following is a simulated powder X-ray diffraction pattern of PmY2Hg3. It was derived from a PBE-relaxed structure, using a wavelength of 1.5418 Å.
No peak broadening, texture or thermal motion is included.

Cell and atoms:
```
PmY2Hg3
1.0
3.754 0.000 0.000
0.000 3.754 0.000
0.000 0.000 11.301
Pm Y Hg
1 2 3
direct
0.000 0.000 0.000 Pm
0.000 0.000 0.336 Y
0.000 0.000 0.664 Y
0.500 0.500 0.176 Hg
0.500 0.500 0.500 Hg
0.500 0.500 0.824 Hg
```

The 8 most intense peaks (5 to 70 degrees two-theta), in order of rising 2θ:
h k l	d/Å	Position (°2θ)	I (rel.)
1 0 0	3.758	23.7	10
1 1 0	2.657	33.7	100
1 1 3	2.170	41.6	3
0 0 6	1.883	48.3	6
2 0 0	1.877	48.5	12
2 1 0	1.679	54.7	3
1 1 6	1.536	60.3	12
2 1 3	1.533	60.4	25

---

Record 2
The following is a simulated powder X-ray diffraction pattern of Pm2ZnHg5. It was derived from a PBE-relaxed structure, using a wavelength of 1.5418 Å.
No peak broadening, texture or thermal motion is included.

Cell and atoms:
```
Pm2ZnHg5
1.0
8.107 0.000 0.000
0.000 4.669 0.000
-2.677 0.000 11.293
Pm Zn Hg
4 2 10
direct
0.090 0.000 0.270 Pm
0.410 0.500 0.730 Pm
0.590 0.500 0.270 Pm
0.910 0.000 0.730 Pm
0.000 0.000 0.000 Zn
0.500 0.500 0.000 Zn
0.000 0.500 0.500 Hg
0.134 0.500 0.902 Hg
0.200 0.000 0.599 Hg
0.300 0.500 0.401 Hg
0.366 0.000 0.098 Hg
0.500 0.000 0.500 Hg
0.634 0.000 0.902 Hg
0.700 0.500 0.599 Hg
0.800 0.000 0.401 Hg
0.866 0.500 0.098 Hg
```

The 8 most intense peaks (5 to 70 degrees two-theta), in order of rising 2θ:
h k l	d/Å	Position (°2θ)	I (rel.)
0 0 1	11.293	7.8	15
1 1 2	3.105	28.7	100
2 0 -4	2.598	34.5	29
1 1 -4	2.451	36.7	25
0 2 0	2.337	38.5	83
2 0 4	2.077	43.6	14
2 2 -3	1.866	48.8	16
1 3 2	1.459	63.8	14